The following is a calculated powder diffractogram of Ti2In3Cl9. It was derived from a GGA-PBE-relaxed structure, using CuKα.
Lines closer than 0.1° are merged.

Principal peaks in the range 10° ≤ 2θ ≤ 90°, low angle first:
two_theta  I (rel.)  (hkl)
17.4  67  1 0 2
24.4  90  1 1 0
29.3  56  1 0 5
30.1  100  2 0 2
32.3  93  2 0 3
35.2  33  2 0 4
38.6  47  2 0 5
46.2  39  2 1 5
48.8  24  1 1 8
50.1  57  2 2 0

```
data_Ti2In3Cl9
_cell_length_a 7.2824
_cell_length_b 7.2824
_cell_length_c 17.3767
_cell_angle_alpha 90.00
_cell_angle_beta 90.00
_cell_angle_gamma 120.00
_symmetry_space_group_name_H-M 'P 63 m c'
_symmetry_Int_Tables_number 186
_symmetry_space_group_name_Hall 'P 6c -2c'
loop_
_atom_site_label
_atom_site_type_symbol
_atom_site_fract_x
_atom_site_fract_y
_atom_site_fract_z
Ti1 Ti 0.3333 0.6667 0.0000
Ti2 Ti 0.3333 0.6667 0.1577
In1 In 0.0000 0.0000 0.1217
In2 In 0.3333 0.6667 0.3853
In3 In 0.3333 0.6667 0.7872
Cl1 Cl 0.0154 0.5077 0.0805
Cl2 Cl 0.1779 0.3557 0.2399
Cl3 Cl 0.1784 0.3567 0.9209
```